Na3Ge2Se4: calculated PXRD pattern (Cu Kα, 1.54184 Å), based on a DFT-relaxed cell (PBE, Alexandria).
Lines closer than 0.1° are merged.

Largest 10 diffraction maxima, sorted by position, 2θ = 10–90°:
- 2θ 15.7, rel. 43
- 2θ 21.2, rel. 98
- 2θ 21.8, rel. 46
- 2θ 25.5, rel. 51
- 2θ 28.0, rel. 62
- 2θ 35.6, rel. 65
- 2θ 36.0, rel. 38
- 2θ 36.8, rel. 38
- 2θ 37.9, rel. 100
- 2θ 48.2, rel. 38

```
data_Na3Ge2Se4
_chemical_formula_sum 'Na12 Ge8 Se16'
_cell_length_a 12.727
_cell_length_b 9.771
_cell_length_c 8.153
_cell_angle_alpha 90.00
_cell_angle_beta 90.69
_cell_angle_gamma 90.00
_symmetry_space_group_name_H-M 'C 1 2/c 1'
_symmetry_Int_Tables_number 15
_symmetry_space_group_name_Hall '-C 2yc'
loop_
_atom_site_label
_atom_site_fract_x
_atom_site_fract_y
_atom_site_fract_z
Na1 0.000 0.105 0.250
Na2 0.127 0.374 0.042
Ge1 0.181 0.130 0.606
Se1 0.121 0.343 0.411
Se2 0.144 0.078 0.927
```

=====

NaGe2Se4: calculated PXRD pattern (Cu Kα, 1.54184 Å), based on a DFT-relaxed cell (PBE, Alexandria).
Lines closer than 0.1° are merged.

Largest 10 diffraction maxima, sorted by position, 2θ = 10–90°:
- 2θ 15.7, rel. 76
- 2θ 28.7, rel. 100
- 2θ 31.7, rel. 23
- 2θ 36.3, rel. 40
- 2θ 46.0, rel. 51
- 2θ 48.4, rel. 20
- 2θ 49.2, rel. 23
- 2θ 50.3, rel. 20
- 2θ 51.2, rel. 11
- 2θ 75.7, rel. 13

```
data_NaGe2Se4
_chemical_formula_sum 'Na2 Ge4 Se8'
_cell_length_a 7.981
_cell_length_b 7.981
_cell_length_c 6.313
_cell_angle_alpha 90.00
_cell_angle_beta 90.00
_cell_angle_gamma 90.00
_symmetry_space_group_name_H-M 'I 4/m'
_symmetry_Int_Tables_number 87
_symmetry_space_group_name_Hall '-I 4'
loop_
_atom_site_label
_atom_site_fract_x
_atom_site_fract_y
_atom_site_fract_z
Na1 0.000 0.000 0.000
Ge1 0.000 0.500 0.250
Se1 0.163 0.675 0.500
```

=====

Na3Sm3GeSe8: calculated PXRD pattern (Cu Kα, 1.54184 Å), based on a DFT-relaxed cell (PBE, Alexandria).
Lines closer than 0.1° are merged.

Largest 10 diffraction maxima, sorted by position, 2θ = 10–90°:
- 2θ 12.5, rel. 57
- 2θ 25.2, rel. 19
- 2θ 30.0, rel. 100
- 2θ 38.8, rel. 17
- 2θ 42.3, rel. 35
- 2θ 43.7, rel. 34
- 2θ 45.6, rel. 13
- 2θ 53.9, rel. 26
- 2θ 69.8, rel. 13
- 2θ 71.8, rel. 17

```
data_Na3Sm3GeSe8
_chemical_formula_sum 'Na9 Sm9 Ge3 Se24'
_cell_length_a 8.2913
_cell_length_b 8.2913
_cell_length_c 21.2669
_cell_angle_alpha 90.00
_cell_angle_beta 90.00
_cell_angle_gamma 120.00
_symmetry_space_group_name_H-M 'R -3 m'
_symmetry_Int_Tables_number 166
_symmetry_space_group_name_Hall '-R 3 2"'
loop_
_atom_site_label
_atom_site_fract_x
_atom_site_fract_y
_atom_site_fract_z
Na1 0.0000 0.5000 0.0000
Sm1 0.0000 0.5000 0.5000
Ge1 0.0000 0.0000 0.5000
Se1 0.0000 0.0000 0.2446
Se2 0.0308 0.5154 0.2392
```

=====

Copy entry 3 word for word.
Na3Sm3GeSe8: calculated PXRD pattern (Cu Kα, 1.54184 Å), based on a DFT-relaxed cell (PBE, Alexandria).
Lines closer than 0.1° are merged.

Largest 10 diffraction maxima, sorted by position, 2θ = 10–90°:
- 2θ 12.5, rel. 57
- 2θ 25.2, rel. 19
- 2θ 30.0, rel. 100
- 2θ 38.8, rel. 17
- 2θ 42.3, rel. 35
- 2θ 43.7, rel. 34
- 2θ 45.6, rel. 13
- 2θ 53.9, rel. 26
- 2θ 69.8, rel. 13
- 2θ 71.8, rel. 17

```
data_Na3Sm3GeSe8
_chemical_formula_sum 'Na9 Sm9 Ge3 Se24'
_cell_length_a 8.2913
_cell_length_b 8.2913
_cell_length_c 21.2669
_cell_angle_alpha 90.00
_cell_angle_beta 90.00
_cell_angle_gamma 120.00
_symmetry_space_group_name_H-M 'R -3 m'
_symmetry_Int_Tables_number 166
_symmetry_space_group_name_Hall '-R 3 2"'
loop_
_atom_site_label
_atom_site_fract_x
_atom_site_fract_y
_atom_site_fract_z
Na1 0.0000 0.5000 0.0000
Sm1 0.0000 0.5000 0.5000
Ge1 0.0000 0.0000 0.5000
Se1 0.0000 0.0000 0.2446
Se2 0.0308 0.5154 0.2392
```